Ho6S5N: calculated PXRD pattern (λ = 1.5418 Å (Cu Kα)), based on a structure optimized by DFT (GGA-PBE).
Kinematic intensities with the Lorentz-polarization factor, no thermal factor.

The 10 most intense peaks (10 to 80 degrees two-theta), by angle:
2theta  I/Imax
28.5  23
28.6  68
33.1  100
47.5  33
47.6  11
47.7  22
56.5  12
56.5  11
59.2  11
69.6  9

a = 6.6130 Å, b = 6.6130 Å, c = 6.6423 Å
α = 99.53°, β = 99.53°, γ = 120.15°
Positions (direct):
1 Ho 0.0754 0.3813 0.2257
2 Ho 0.2316 0.2316 0.7702
3 Ho 0.3813 0.0754 0.2257
4 Ho 0.6187 0.9246 0.7743
5 Ho 0.7684 0.7684 0.2298
6 Ho 0.9246 0.6187 0.7743
7 S 0.1722 0.8278 0.5000
8 S 0.3334 0.6666 0.0000
9 S 0.5000 0.5000 0.5000
10 S 0.6666 0.3334 0.0000
11 S 0.8278 0.1722 0.5000
12 N 0.0000 0.0000 0.0000